Entry 1:
The following is a computed powder diffractogram of CsNdRu2O8. It was derived from a DFT-relaxed cell (GGA-PBE, Alexandria), using Cu Kα (λ = 1.5418 Å).
Neutral-atom scattering factors, no anomalous dispersion.

Main lines, in order of rising 2θ (2θ = 10–90°):
18.15°, intensity 40, hkl 2 0 0; 19.31°, intensity 33, hkl 1 1 -1; 19.99°, intensity 49, hkl 2 0 -1; 21.27°, intensity 26, hkl 2 0 1; 25.61°, intensity 100, hkl 1 1 -2; 26.59°, intensity 53, hkl 1 1 2; 28.88°, intensity 40, hkl 0 2 0; 31.02°, intensity 57, hkl 3 1 0; 50.69°, intensity 24, hkl 4 2 -2; 52.58°, intensity 25, hkl 3 3 0

Cell and atoms:
Cell: 9.800 6.183 9.038 Å, 90.00 94.02 90.00°
Space group C2/m (No. 12)
Inequivalent atoms, fractional coordinates:
Cs  0.000  0.000  0.000 [2 per cell]
Nd  0.000  0.000  0.500 [2 per cell]
Ru  0.129  0.500  0.280 [4 per cell]
O  0.029  0.260  0.311 [8 per cell]
O  0.183  0.500  0.099 [4 per cell]
O  0.231  0.000  0.580 [4 per cell]

***

Entry 2:
The following is a computed powder diffractogram of Cs2KNa12Hg3. It was derived from a DFT-relaxed cell (GGA-PBE, Alexandria), using Cu Kα (λ = 1.5418 Å).
Neutral-atom scattering factors, no anomalous dispersion.

Main lines, in order of rising 2θ (2θ = 10–90°):
15.92°, intensity 25, hkl 1 0 4; 18.56°, intensity 23, hkl 0 1 5; 19.27°, intensity 27, hkl 1 1 3; 19.61°, intensity 100, hkl 0 2 1; 20.38°, intensity 59, hkl 2 0 2; 24.27°, intensity 24, hkl 1 0 7; 25.43°, intensity 25, hkl 1 1 6; 30.32°, intensity 22, hkl 1 2 5; 33.85°, intensity 36, hkl 2 2 0; 37.62°, intensity 41, hkl 0 2 10

Cell and atoms:
Cell: 10.5912 10.5912 28.0135 Å, 90.00 90.00 120.00°
Space group R-3m (No. 166, hexagonal axes)
Inequivalent atoms, fractional coordinates:
Cs  0.0000  0.0000  0.0918 [6 per cell]
K  0.0000  0.0000  0.5000 [3 per cell]
Na  0.0878  0.5439  0.2916 [18 per cell]
Na  0.0997  0.5499  0.8962 [18 per cell]
Hg  0.0000  0.5000  0.0000 [9 per cell]

***

Entry 3:
The following is a computed powder diffractogram of Sr5VH2N4. It was derived from a DFT-relaxed cell (GGA-PBE, Alexandria), using Cu Kα (λ = 1.5418 Å).
Neutral-atom scattering factors, no anomalous dispersion.

Main lines, in order of rising 2θ (2θ = 10–90°):
23.91°, intensity 11, hkl 2 0 0; 29.59°, intensity 100, hkl 0 0 2; 30.14°, intensity 36, hkl 2 2 0; 31.08°, intensity 79, hkl 0 3 1; 39.59°, intensity 15, hkl 2 3 1; 42.71°, intensity 38, hkl 2 2 2; 52.46°, intensity 12, hkl 2 1 3; 53.39°, intensity 16, hkl 0 3 3; 55.04°, intensity 20, hkl 2 5 1; 59.13°, intensity 17, hkl 4 3 1

Cell and atoms:
Cell: 7.442 9.813 6.048 Å, 90.00 90.00 90.00°
Space group Amm2 (No. 38)
Inequivalent atoms, fractional coordinates:
Sr  0.000  0.000  0.000 [2 per cell]
Sr  0.277  0.179  0.481 [8 per cell]
V  0.500  0.000  0.990 [2 per cell]
H  0.000  0.236  0.751 [4 per cell]
N  0.300  0.000  0.171 [4 per cell]
N  0.500  0.154  0.809 [4 per cell]

***

Entry 4:
The following is a computed powder diffractogram of Pm2NdHo6. It was derived from a DFT-relaxed cell (GGA-PBE, Alexandria), using Cu Kα (λ = 1.5418 Å).
Neutral-atom scattering factors, no anomalous dispersion.

Main lines, in order of rising 2θ (2θ = 10–90°):
30.46°, intensity 67, hkl 4 0 -1; 30.82°, intensity 100, hkl 3 3 0; 31.44°, intensity 15, hkl 0 2 1; 33.04°, intensity 39, hkl 6 0 0; 36.71°, intensity 41, hkl 1 3 -1; 50.21°, intensity 29, hkl 7 3 -1; 57.63°, intensity 14, hkl 9 3 0; 62.06°, intensity 27, hkl 5 3 -2; 62.68°, intensity 15, hkl 4 6 -1; 63.38°, intensity 12, hkl 8 0 -2

Cell and atoms:
Cell: 16.634 10.303 3.490 Å, 90.00 102.03 90.00°
Space group C2/m (No. 12)
Inequivalent atoms, fractional coordinates:
Pm  0.157  0.000  0.155 [4 per cell]
Nd  0.000  0.500  0.000 [2 per cell]
Ho  0.000  0.185  0.500 [4 per cell]
Ho  0.178  0.333  0.179 [8 per cell]